(1)
Calculated powder XRD pattern of NbS2 for Cu Kα (weighted mean of Kα1 and Kα2), from the PBE geometry in the Materials Project.
Peak positions follow from Bragg's law for the DFT cell and can differ from measured ones.

```
NbS2
1.0
3.3893 0.0000 0.0000
-1.6947 2.9352 0.0000
0.0000 0.0000 14.2382
Nb S
2 4
Direct
0.0000 0.0000 0.0000
0.0000 0.0000 0.5000
0.3333 0.6667 0.1084
0.3333 0.6667 0.3916
0.6667 0.3333 0.6084
0.6667 0.3333 0.8916
```

Peak list (10 most intense, 2θ = 10–80°, most intense first)
Position (°2θ), I (rel.)
12.43, 100
39.81, 42
33.01, 36
49.39, 19
54.12, 13
55.76, 12
30.45, 11
35.98, 9
69.25, 8
31.11, 7



(2)
Calculated powder XRD pattern of NbS2 for Cu Kα (weighted mean of Kα1 and Kα2), from the PBE geometry in the Materials Project.
Peak positions follow from Bragg's law for the DFT cell and can differ from measured ones.

```
NbS2
1.0
3.3636 0.0000 0.0000
0.0000 44.1989 0.0000
0.0000 0.0000 5.8088
Nb S
4 8
Direct
0.0000 0.0000 0.0000
0.0000 0.5000 0.5000
0.5000 0.0000 0.5000
0.5000 0.5000 0.0000
0.0000 0.0355 0.6661
0.0000 0.4645 0.1661
0.0000 0.5355 0.1661
0.0000 0.9645 0.6661
0.5000 0.0355 0.1661
0.5000 0.4645 0.6661
0.5000 0.5355 0.6661
0.5000 0.9645 0.1661
```

Peak list (10 most intense, 2θ = 10–80°, most intense first)
Position (°2θ), I (rel.)
12.01, 100
40.81, 31
38.18, 30
30.78, 30
35.86, 27
16.04, 27
43.71, 23
33.91, 23
54.74, 22
31.32, 22



(3)
Calculated powder XRD pattern of NbS2 for Cu Kα (weighted mean of Kα1 and Kα2), from the PBE geometry in the Materials Project.
Peak positions follow from Bragg's law for the DFT cell and can differ from measured ones.

```
NbS2
1.0
3.5438 0.0000 0.0000
0.0000 3.1845 0.0000
0.0000 0.0000 9.9258
Nb S
2 4
Direct
0.0000 0.0000 0.0000
0.0000 0.5000 0.5000
0.0000 0.0000 0.6816
0.0000 0.5000 0.1816
0.5000 0.0000 0.4035
0.5000 0.5000 0.9035
```

Peak list (10 most intense, 2θ = 10–80°, most intense first)
Position (°2θ), I (rel.)
39.10, 100
17.87, 97
39.27, 69
47.19, 59
25.13, 54
31.01, 48
44.58, 32
66.70, 27
29.46, 23
61.90, 20



(4)
Calculated powder XRD pattern of NbS2 for Cu Kα (weighted mean of Kα1 and Kα2), from the PBE geometry in the Materials Project.
Peak positions follow from Bragg's law for the DFT cell and can differ from measured ones.

```
NbS2
1.0
3.3557 0.0000 0.0000
-1.6779 2.9062 0.0000
0.0000 0.0000 14.8512
Nb S
1 2
Direct
0.0000 0.0000 0.0000
0.3333 0.6667 0.1056
0.3333 0.6667 0.8944
```

Peak list (10 most intense, 2θ = 10–80°, most intense first)
Position (°2θ), I (rel.)
11.92, 100
39.37, 43
35.83, 39
43.57, 35
31.36, 32
33.10, 31
48.30, 20
55.08, 19
30.77, 17
17.92, 14